Record 1
This entry pairs a crystal structure of CaMg6VO8 with its simulated X-ray diffraction stick pattern. Radiation: copper Kα. Structure: a PBE+U-relaxed structure.
Kinematic intensities with the Lorentz-polarization factor, no thermal factor.

Structure:
```
16
Lattice="4.387 0.000 0.000 0.000 4.387 0.000 0.000 0.000 8.684" Properties=species:S:1:pos:R:3 pbc="T T T"
Ca 0.000 0.000 0.000
Mg 0.000 0.000 4.342
Mg 0.000 2.194 2.238
Mg 0.000 2.194 6.445
Mg 2.194 0.000 2.238
Mg 2.194 0.000 6.445
Mg 2.194 2.194 4.342
V 2.194 2.194 0.000
O 0.000 0.000 2.300
O 0.000 0.000 6.383
O 0.000 2.194 0.000
O 0.000 2.194 4.342
O 2.194 0.000 0.000
O 2.194 0.000 4.342
O 2.194 2.194 2.222
O 2.194 2.194 6.462
```

Largest 10 diffraction maxima, in order of rising 2θ, 2θ = 15–90°:
2θ/deg, d [Å], Rel. int.
30.6, 2.921, 6
35.6, 2.524, 28
41.2, 2.194, 100
41.6, 2.171, 47
59.6, 1.551, 28
59.9, 1.543, 54
71.4, 1.322, 10
72.0, 1.312, 5
75.3, 1.262, 25
89.3, 1.097, 8


Record 2
This entry pairs a crystal structure of CaMg6VO8 with its simulated X-ray diffraction stick pattern. Radiation: copper Kα. Structure: a PBE+U-relaxed structure.
Kinematic intensities with the Lorentz-polarization factor, no thermal factor.

Structure:
```
16
Lattice="4.381 0.000 0.000 0.000 4.381 0.000 0.000 0.000 8.741" Properties=species:S:1:pos:R:3 pbc="T T T"
Ca 0.000 0.000 0.000
Mg 0.000 2.190 2.228
Mg 0.000 2.190 6.512
Mg 2.190 0.000 2.228
Mg 2.190 0.000 6.512
Mg 2.190 2.190 0.000
Mg 2.190 2.190 4.370
V 0.000 0.000 4.370
O 0.000 0.000 2.257
O 0.000 0.000 6.484
O 0.000 2.190 0.000
O 0.000 2.190 4.370
O 2.190 0.000 0.000
O 2.190 0.000 4.370
O 2.190 2.190 2.199
O 2.190 2.190 6.542
```

Largest 10 diffraction maxima, in order of rising 2θ, 2θ = 15–90°:
2θ/deg, d [Å], Rel. int.
20.3, 4.377, 13
28.8, 3.095, 10
35.5, 2.527, 29
41.2, 2.190, 100
41.3, 2.185, 49
59.8, 1.548, 85
71.4, 1.321, 10
71.6, 1.318, 5
75.2, 1.264, 25
89.5, 1.095, 8